Structure and calculated X-ray diffraction stick pattern of Li2CoSiO4 (a cell relaxed with GGA+U; Cu Kα X-rays).

Principal peaks in the range 10° ≤ 2θ ≤ 80°, by intensity:
3.927 Å, 22.64°, rel. 100; 4.104 Å, 21.65°, rel. 83; 2.727 Å, 32.84°, rel. 53; 2.506 Å, 35.84°, rel. 48; 2.396 Å, 37.54°, rel. 43; 2.698 Å, 33.20°, rel. 30

Structure:
abc: 5.012 5.396 8.056
angles: 90.00 128.30 90.00
Space group Pc (No. 7)
One atom of each set of equivalent atoms:
Li1 0.000 0.156 0.000
Li2 0.251 0.324 0.752
Co1 0.743 0.330 0.245
Si1 0.493 0.174 0.500
O1 0.162 0.181 0.499
O2 0.383 0.317 0.284
O3 0.600 0.117 0.001
O4 0.816 0.316 0.716